La6NdMg2: theoretical powder diffraction line list (λ = 1.5418 Å (Cu Kα)), based on a cell relaxed with GGA-PBE.
No peak broadening, texture or thermal motion is included.

```
La6NdMg2
1.0
6.268 -2.842 0.000
6.268 2.842 0.000
-6.217 0.000 8.711
La Nd Mg
6 1 2
direct
0.036 0.036 0.182
0.324 0.324 0.933
0.339 0.339 0.581
0.661 0.661 0.419
0.676 0.676 0.067
0.964 0.964 0.818
0.000 0.000 0.500
0.344 0.344 0.268
0.656 0.656 0.732
```

Main lines, by angle (2θ = 10–90°):
2θ (°)	I (rel.)
26.99	33
30.37	43
30.63	96
30.97	100
31.48	51
44.30	31
53.91	24
55.04	16
55.53	29
55.72	19

---

BeAl3V12: theoretical powder diffraction line list (λ = 1.5418 Å (Cu Kα)), based on a cell relaxed with GGA-PBE.
No peak broadening, texture or thermal motion is included.

```
BeAl3V12
1.0
4.755 0.000 0.000
0.000 4.770 0.000
0.000 0.000 9.471
Be Al V
1 3 12
direct
0.000 0.000 0.000
0.000 0.000 0.500
0.500 0.500 0.248
0.500 0.500 0.752
0.000 0.500 0.115
0.000 0.500 0.370
0.000 0.500 0.630
0.000 0.500 0.885
0.249 0.000 0.240
0.249 0.000 0.760
0.500 0.233 0.000
0.500 0.259 0.500
0.500 0.741 0.500
0.500 0.767 0.000
0.751 0.000 0.240
0.751 0.000 0.760
```

Main lines, by angle (2θ = 10–90°):
2θ (°)	I (rel.)
26.52	30
37.72	12
42.44	100
42.59	58
42.66	35
46.77	50
46.91	24
68.36	21
71.68	13
74.61	17

---

NaTl4: theoretical powder diffraction line list (λ = 1.5418 Å (Cu Kα)), based on a cell relaxed with GGA-PBE.
No peak broadening, texture or thermal motion is included.

```
NaTl4
1.0
-1.997 1.997 9.321
1.997 -1.997 9.321
1.997 1.997 -9.321
Na Tl
1 4
direct
0.000 0.000 0.000
0.199 0.199 0.000
0.399 0.399 0.000
0.601 0.601 0.000
0.801 0.801 0.000
```

Main lines, by angle (2θ = 10–90°):
2θ (°)	I (rel.)
22.77	11
31.69	55
32.86	100
45.42	21
48.86	8
57.19	42
59.41	19
68.91	13
75.24	9
75.89	9

---

Al2Pt2Au: theoretical powder diffraction line list (λ = 1.5418 Å (Cu Kα)), based on a cell relaxed with GGA-PBE.
No peak broadening, texture or thermal motion is included.

```
Al2Pt2Au
1.0
7.441 0.000 0.000
0.000 7.441 0.000
0.000 0.000 2.844
Al Pt Au
4 4 2
direct
0.156 0.344 0.000
0.344 0.844 0.000
0.656 0.156 0.000
0.844 0.656 0.000
0.141 0.641 0.500
0.359 0.141 0.500
0.641 0.859 0.500
0.859 0.359 0.500
0.000 0.000 0.500
0.500 0.500 0.500
```

Main lines, by angle (2θ = 10–90°):
2θ (°)	I (rel.)
26.79	79
31.45	59
34.08	17
38.25	100
41.78	88
50.33	70
64.93	14
76.67	23
78.61	25
80.44	15

---

Sr2CeH12Rh3: theoretical powder diffraction line list (λ = 1.5418 Å (Cu Kα)), based on a cell relaxed with GGA-PBE.
No peak broadening, texture or thermal motion is included.

```
Sr2CeH12Rh3
1.0
3.424 1.977 4.818
-3.424 1.977 4.818
0.000 -3.954 4.818
Sr Ce H Rh
2 1 12 3
direct
0.117 0.117 0.117
0.883 0.883 0.883
0.500 0.500 0.500
0.080 0.633 0.633
0.220 0.220 0.600
0.220 0.600 0.220
0.367 0.367 0.920
0.367 0.920 0.367
0.400 0.780 0.780
0.600 0.220 0.220
0.633 0.080 0.633
0.633 0.633 0.080
0.780 0.400 0.780
0.780 0.780 0.400
0.920 0.367 0.367
0.000 0.500 0.500
0.500 0.000 0.500
0.500 0.500 0.000
```

Main lines, by angle (2θ = 10–90°):
2θ (°)	I (rel.)
16.15	31
26.02	30
30.78	45
32.07	100
32.64	87
34.52	53
49.86	29
51.59	33
53.52	39
59.95	26

---

AcCeRu: theoretical powder diffraction line list (λ = 1.5418 Å (Cu Kα)), based on a cell relaxed with GGA-PBE.
No peak broadening, texture or thermal motion is included.

```
AcCeRu
1.0
6.861 -2.035 0.000
6.861 2.035 0.000
-0.957 0.000 6.553
Ac Ce Ru
2 2 2
direct
0.141 0.141 0.337
0.859 0.859 0.663
0.394 0.394 0.155
0.606 0.606 0.845
0.218 0.218 0.835
0.782 0.782 0.165
```

Main lines, by angle (2θ = 10–90°):
2θ (°)	I (rel.)
13.04	31
26.26	35
27.09	63
28.49	39
29.51	30
31.34	100
32.00	54
43.94	44
44.51	28
55.85	31